Entry 1:
Calculated powder diffraction line list
Compound: Ba2GdReO6
Radiation: Cu Kα
Structure: the GGA-PBE geometry in the Materials Project

Top 6 peaks for 2θ = 5–70°, most intense first:
index, d [Å], 2θ/deg, Rel. int.
1 1 1, 3.024, 29.54, 100
2 0 2, 1.746, 52.40, 34
0 0 4, 2.138, 42.27, 28
2 2 2, 1.512, 61.30, 14
1 1 5, 1.353, 69.49, 12
3 1 -5, 1.743, 52.49, 7

Structure:
Unit cell a=6.0385 b=6.0498 c=10.4705 alpha=90.00 beta=125.16 gamma=90.00
Space group P2_1/c (No. 14)
Symmetry-distinct sites (fractional):
Ba (0.2481, 0.0118, 0.2498) (multiplicity 4)
Gd (0.5000, 0.0000, 0.0000) (multiplicity 2)
Re (0.0000, 0.0000, 0.5000) (multiplicity 2)
O (0.2006, 0.2482, 0.4835) (multiplicity 4)
O (0.2341, 0.7168, 0.9848) (multiplicity 4)
O (0.2620, 0.0009, 0.7325) (multiplicity 4)

Entry 2:
Calculated powder diffraction line list
Compound: K2FeP2Se6
Radiation: Cu Kα
Structure: the GGA-PBE geometry in the Materials Project

Top 6 peaks for 2θ = 5–70°, most intense first:
index, d [Å], 2θ/deg, Rel. int.
0 2 0, 6.523, 13.58, 100
1 4 -1, 2.893, 30.91, 89
1 2 1, 3.150, 28.33, 76
0 2 2, 3.262, 27.34, 34
1 2 -3, 2.693, 33.27, 32
0 6 2, 1.883, 48.34, 28

Structure:
Unit cell a=6.4331 b=13.0396 c=8.9025 alpha=90.00 beta=122.16 gamma=90.00
Space group P2_1/c (No. 14)
Symmetry-distinct sites (fractional):
K (0.1806, 0.1933, 0.4558) (multiplicity 4)
Fe (0.5000, 0.0000, 0.0000) (multiplicity 2)
P (0.1484, 0.5330, 0.6318) (multiplicity 4)
Se (0.0631, 0.0565, 0.7399) (multiplicity 4)
Se (0.2926, 0.6670, 0.5652) (multiplicity 4)
Se (0.4427, 0.0831, 0.2469) (multiplicity 4)

Entry 3:
Calculated powder diffraction line list
Compound: Er5Ni2Bi
Radiation: Cu Kα
Structure: the GGA-PBE geometry in the Materials Project

Top 6 peaks for 2θ = 5–70°, most intense first:
index, d [Å], 2θ/deg, Rel. int.
2 1 3, 2.712, 33.03, 100
3 1 0, 2.396, 37.53, 88
2 0 4, 2.527, 35.52, 62
1 1 4, 2.866, 31.21, 57
2 1 1, 3.288, 27.12, 38
3 3 4, 1.580, 58.39, 33

Structure:
Unit cell a=7.5776 b=7.5776 c=13.5688 alpha=90.00 beta=90.00 gamma=90.00
Space group I4/mcm (No. 140)
Symmetry-distinct sites (fractional):
Er (0.0000, 0.0000, 0.0000) (multiplicity 4)
Er (0.1574, 0.3426, 0.1337) (multiplicity 16)
Ni (0.1287, 0.3713, 0.5000) (multiplicity 8)
Bi (0.0000, 0.0000, 0.2500) (multiplicity 4)

Entry 4:
Calculated powder diffraction line list
Compound: Ce2Th2O7
Radiation: Cu Kα
Structure: the GGA-PBE geometry in the Materials Project

Top 6 peaks for 2θ = 5–70°, most intense first:
index, d [Å], 2θ/deg, Rel. int.
1 0 2, 3.228, 27.64, 100
2 0 0, 1.977, 45.91, 50
2 1 2, 1.686, 54.43, 46
1 1 0, 2.795, 32.02, 36
0 0 1, 11.195, 7.90, 15
2 0 4, 1.614, 57.07, 10

Structure:
Unit cell a=3.9509 b=3.9509 c=11.1950 alpha=90.00 beta=90.00 gamma=90.00
Space group P-4m2 (No. 115)
Symmetry-distinct sites (fractional):
Ce (0.0000, 0.5000, 0.1325) (multiplicity 2)
Th (0.0000, 0.5000, 0.6262) (multiplicity 2)
O (0.0000, 0.0000, 0.2395) (multiplicity 2)
O (0.0000, 0.0000, 0.5000) (multiplicity 1)
O (0.5000, 0.5000, 0.0000) (multiplicity 1)
O (0.5000, 0.5000, 0.2555) (multiplicity 2)
O (0.5000, 0.5000, 0.5000) (multiplicity 1)

Entry 5:
Calculated powder diffraction line list
Compound: Ti4Bi2O11
Radiation: Cu Kα
Structure: the GGA-PBE geometry in the Materials Project

Top 6 peaks for 2θ = 5–70°, most intense first:
index, d [Å], 2θ/deg, Rel. int.
1 1 -3, 3.003, 29.75, 100
2 0 0, 7.436, 11.90, 75
3 1 -1, 2.985, 29.94, 66
4 0 2, 3.270, 27.27, 57
2 0 2, 5.172, 17.14, 52
4 0 -4, 2.727, 32.85, 52

Structure:
Unit cell a=14.8928 b=3.8174 c=15.1768 alpha=90.00 beta=93.03 gamma=90.00
Space group C2/c (No. 15)
Symmetry-distinct sites (fractional):
Ti (0.0510, 0.2495, 0.1404) (multiplicity 8)
Ti (0.1467, 0.2610, 0.5168) (multiplicity 8)
Bi (0.1803, 0.1850, 0.8202) (multiplicity 8)
O (0.0000, 0.2296, 0.2500) (multiplicity 4)
O (0.0547, 0.2491, 0.4248) (multiplicity 8)
O (0.0786, 0.2517, 0.6282) (multiplicity 8)
O (0.1372, 0.2473, 0.0347) (multiplicity 8)
O (0.1828, 0.2630, 0.2243) (multiplicity 8)
O (0.2309, 0.2387, 0.4176) (multiplicity 8)

Entry 6:
Calculated powder diffraction line list
Compound: USbPd2
Radiation: Cu Kα
Structure: the GGA-PBE geometry in the Materials Project

Top 6 peaks for 2θ = 5–70°, most intense first:
index, d [Å], 2θ/deg, Rel. int.
2 2 0, 2.424, 37.10, 100
4 2 2, 1.399, 66.87, 36
4 0 0, 1.714, 53.47, 17
1 1 1, 3.958, 22.47, 8
2 0 0, 3.427, 26.00, 6
3 1 1, 2.067, 43.80, 5

Structure:
Unit cell a=6.8548 b=6.8548 c=6.8548 alpha=90.00 beta=90.00 gamma=90.00
Space group Fm-3m (No. 225)
Symmetry-distinct sites (fractional):
U (0.0000, 0.0000, 0.0000) (multiplicity 4)
Sb (0.0000, 0.0000, 0.5000) (multiplicity 4)
Pd (0.2500, 0.2500, 0.2500) (multiplicity 8)

Entry 7:
Calculated powder diffraction line list
Compound: Mg2FeH6
Radiation: Cu Kα
Structure: the GGA-PBE geometry in the Materials Project

Top 6 peaks for 2θ = 5–70°, most intense first:
index, d [Å], 2θ/deg, Rel. int.
2 2 0, 2.269, 39.72, 100
1 1 1, 3.705, 24.02, 80
3 1 1, 1.935, 46.96, 36
4 0 0, 1.604, 57.44, 18
3 3 1, 1.472, 63.15, 13
2 0 0, 3.209, 27.80, 1

Structure:
Unit cell a=6.4177 b=6.4177 c=6.4177 alpha=90.00 beta=90.00 gamma=90.00
Space group Fm-3m (No. 225)
Symmetry-distinct sites (fractional):
Mg (0.2500, 0.2500, 0.2500) (multiplicity 8)
Fe (0.0000, 0.0000, 0.0000) (multiplicity 4)
H (0.0000, 0.0000, 0.2431) (multiplicity 24)

Entry 8:
Calculated powder diffraction line list
Compound: Li3Ta7O19
Radiation: Cu Kα
Structure: the GGA-PBE geometry in the Materials Project

Top 6 peaks for 2θ = 5–70°, most intense first:
index, d [Å], 2θ/deg, Rel. int.
1 1 1, 3.113, 28.68, 100
0 0 6, 3.361, 26.52, 52
1 1 5, 2.483, 36.18, 50
0 0 4, 5.042, 17.59, 42
3 0 0, 1.819, 50.15, 32
1 1 4, 2.672, 33.54, 30

Structure:
Unit cell a=6.3010 b=6.3010 c=20.1685 alpha=90.00 beta=90.00 gamma=120.00
Space group P6_3/m (No. 176)
Symmetry-distinct sites (fractional):
Li (0.0000, 0.5000, 0.0000) (multiplicity 6)
Ta (0.0000, 0.0000, 0.0000) (multiplicity 2)
Ta (0.0293, 0.3344, 0.1549) (multiplicity 12)
O (0.0000, 0.0000, 0.1638) (multiplicity 4)
O (0.0404, 0.2835, 0.0549) (multiplicity 12)
O (0.0693, 0.3639, 0.2500) (multiplicity 6)
O (0.0859, 0.4202, 0.6503) (multiplicity 12)
O (0.3333, 0.6667, 0.1379) (multiplicity 4)